[1]
Computed powder diffractogram of MgCu2Ge for CuKα, from DFT lattice parameters and positions (GGA-PBE).
Peak positions follow from Bragg's law for the DFT cell and can differ from measured ones.

Structural model:
Cell: 6.203 6.203 6.203 Å, 90.00 90.00 90.00°
Space group Pm-3m (No. 221)
Inequivalent atoms, fractional coordinates:
Mg (0.000, 0.000, 0.000) x1
Mg (0.000, 0.000, 0.500) x3
Cu (0.254, 0.254, 0.254) x8
Ge (0.000, 0.500, 0.500) x3
Ge (0.500, 0.500, 0.500) x1

Top 10 peaks for 2θ from 5° to 70°, in order of falling intensity:
- d = 2.193 Å, I = 100, (2 2 0)
- d = 1.551 Å, I = 16, (4 0 0)
- d = 6.203 Å, I = 9, (1 0 0)
- d = 3.101 Å, I = 3, (2 0 0)
- d = 2.774 Å, I = 3, (2 1 0)
- d = 3.581 Å, I = 3, (1 1 1)
- d = 2.068 Å, I = 2, (2 2 1)
- d = 1.720 Å, I = 2, (3 2 0)
- d = 1.870 Å, I = 1, (3 1 1)
- d = 1.504 Å, I = 1, (4 1 0)

---

[2]
Computed powder diffractogram of MgZnCu4Ge2 for CuKα, from DFT lattice parameters and positions (GGA-PBE).
Peak positions follow from Bragg's law for the DFT cell and can differ from measured ones.

Structural model:
Cell: 4.294 4.294 6.194 Å, 90.00 90.00 90.00°
Space group P4/mmm (No. 123)
Inequivalent atoms, fractional coordinates:
Mg (0.000, 0.000, 0.000) x1
Zn (0.500, 0.500, 0.500) x1
Cu (0.000, 0.500, 0.264) x4
Ge (0.000, 0.000, 0.500) x1
Ge (0.500, 0.500, 0.000) x1

Top 10 peaks for 2θ from 5° to 70°, in order of falling intensity:
- d = 2.168 Å, I = 100, (1 1 2)
- d = 2.147 Å, I = 49, (2 0 0)
- d = 1.518 Å, I = 15, (2 2 0)
- d = 1.549 Å, I = 8, (0 0 4)
- d = 6.194 Å, I = 6, (0 0 1)
- d = 3.529 Å, I = 4, (1 0 1)
- d = 1.707 Å, I = 2, (1 1 3)
- d = 4.294 Å, I = 2, (1 0 0)
- d = 2.028 Å, I = 1, (2 0 1)
- d = 1.834 Å, I = 1, (2 1 1)

---

[3]
Computed powder diffractogram of MgZrCuGe for CuKα, from DFT lattice parameters and positions (GGA-PBE).
Peak positions follow from Bragg's law for the DFT cell and can differ from measured ones.

Structural model:
Cell: 6.578 6.578 6.578 Å, 90.00 90.00 90.00°
Space group F-43m (No. 216)
Inequivalent atoms, fractional coordinates:
Mg (0.000, 0.000, 0.000) x4
Zr (0.250, 0.250, 0.750) x4
Cu (0.000, 0.000, 0.500) x4
Ge (0.250, 0.250, 0.250) x4

Top 8 peaks for 2θ from 5° to 70°, in order of falling intensity:
- d = 2.326 Å, I = 100, (2 2 0)
- d = 1.645 Å, I = 16, (4 0 0)
- d = 3.289 Å, I = 10, (2 0 0)
- d = 3.798 Å, I = 8, (1 1 1)
- d = 1.983 Å, I = 4, (3 1 1)
- d = 1.471 Å, I = 4, (4 2 0)
- d = 1.899 Å, I = 3, (2 2 2)
- d = 1.509 Å, I = 1, (3 3 1)

---

[4]
Computed powder diffractogram of CuGe5Mo3 for CuKα, from DFT lattice parameters and positions (GGA-PBE).
Peak positions follow from Bragg's law for the DFT cell and can differ from measured ones.

Structural model:
Cell: 5.3326 5.3326 6.7578 Å, 90.00 90.00 120.00°
Space group P6/mmm (No. 191)
Inequivalent atoms, fractional coordinates:
Cu (0.0000, 0.0000, 0.0000) x1
Ge (0.0000, 0.0000, 0.5000) x1
Ge (0.3333, 0.6667, 0.1818) x4
Mo (0.0000, 0.5000, 0.5000) x3

Top 10 peaks for 2θ from 5° to 70°, in order of falling intensity:
- d = 1.906 Å, I = 100, (2 0 2)
- d = 2.185 Å, I = 70, (2 0 1)
- d = 2.666 Å, I = 58, (1 1 0)
- d = 6.758 Å, I = 49, (0 0 1)
- d = 2.480 Å, I = 37, (1 1 1)
- d = 2.253 Å, I = 34, (0 0 3)
- d = 2.309 Å, I = 26, (2 0 0)
- d = 1.363 Å, I = 24, (2 0 4)
- d = 2.025 Å, I = 24, (1 0 3)
- d = 2.727 Å, I = 21, (1 0 2)

---

[5]
Computed powder diffractogram of Na4CuGe2Pt for CuKα, from DFT lattice parameters and positions (GGA-PBE).
Peak positions follow from Bragg's law for the DFT cell and can differ from measured ones.

Structural model:
Cell: 4.700 4.700 6.614 Å, 90.00 90.00 90.00°
Space group P-4m2 (No. 115)
Inequivalent atoms, fractional coordinates:
Na (0.000, 0.000, 0.000) x1
Na (0.000, 0.500, 0.744) x2
Na (0.500, 0.500, 0.500) x1
Cu (0.000, 0.000, 0.500) x1
Ge (0.000, 0.500, 0.237) x2
Pt (0.500, 0.500, 0.000) x1

Top 10 peaks for 2θ from 5° to 70°, in order of falling intensity:
- d = 2.344 Å, I = 100, (1 1 2)
- d = 3.831 Å, I = 78, (1 0 1)
- d = 2.350 Å, I = 51, (2 0 0)
- d = 1.356 Å, I = 33, (3 1 2)
- d = 2.003 Å, I = 27, (2 1 1)
- d = 6.614 Å, I = 21, (0 0 1)
- d = 1.662 Å, I = 17, (2 2 0)
- d = 4.700 Å, I = 17, (1 0 0)
- d = 1.352 Å, I = 16, (2 0 4)
- d = 1.996 Å, I = 13, (1 0 3)

---

[6]
Computed powder diffractogram of Na2Cu2SiGe for CuKα, from DFT lattice parameters and positions (GGA-PBE).
Peak positions follow from Bragg's law for the DFT cell and can differ from measured ones.

Structural model:
Cell: 10.027 4.254 7.025 Å, 90.00 134.39 90.00°
Space group Cm (No. 8)
Inequivalent atoms, fractional coordinates:
Na (0.000, 0.000, 0.000) x2
Na (0.133, 0.000, 0.629) x2
Cu (0.398, 0.000, 0.211) x2
Cu (0.421, 0.000, 0.614) x2
Si (0.235, 0.500, 0.057) x2
Ge (0.232, 0.500, 0.409) x2

Top 10 peaks for 2θ from 5° to 70°, in order of falling intensity:
- d = 2.534 Å, I = 100, (1 1 -2)
- d = 2.552 Å, I = 92, (3 1 -1)
- d = 2.083 Å, I = 87, (3 1 0)
- d = 2.226 Å, I = 75, (4 0 -3)
- d = 5.017 Å, I = 70, (0 0 1)
- d = 2.127 Å, I = 61, (0 2 0)
- d = 3.658 Å, I = 50, (1 1 0)
- d = 1.791 Å, I = 47, (1 1 2)
- d = 1.780 Å, I = 46, (5 1 -3)
- d = 1.538 Å, I = 44, (4 2 -3)

---

[7]
Computed powder diffractogram of NaCuGeTe3 for CuKα, from DFT lattice parameters and positions (GGA-PBE).
Peak positions follow from Bragg's law for the DFT cell and can differ from measured ones.

Structural model:
Cell: 3.803 14.630 11.460 Å, 90.00 90.00 90.00°
Space group Cmcm (No. 63)
Inequivalent atoms, fractional coordinates:
Na (0.000, 0.244, 0.250) x4
Cu (0.000, 0.446, 0.750) x4
Ge (0.000, 0.000, 0.000) x4
Te (0.000, 0.069, 0.750) x4
Te (0.000, 0.360, 0.550) x8

Top 10 peaks for 2θ from 5° to 70°, in order of falling intensity:
- d = 2.656 Å, I = 100, (1 3 2)
- d = 2.901 Å, I = 96, (1 3 1)
- d = 3.386 Å, I = 76, (0 2 3)
- d = 2.999 Å, I = 76, (1 3 0)
- d = 7.315 Å, I = 73, (0 2 0)
- d = 1.982 Å, I = 64, (1 5 3)
- d = 2.865 Å, I = 55, (0 0 4)
- d = 2.244 Å, I = 48, (0 6 2)
- d = 1.821 Å, I = 43, (1 3 5)
- d = 1.945 Å, I = 36, (1 1 5)

---

[8]
Computed powder diffractogram of TbNb2CuGe2 for CuKα, from DFT lattice parameters and positions (GGA-PBE).
Peak positions follow from Bragg's law for the DFT cell and can differ from measured ones.

Structural model:
Cell: 3.954 3.954 7.564 Å, 90.00 90.00 90.00°
Space group P4mm (No. 99)
Inequivalent atoms, fractional coordinates:
Tb (0.000, 0.000, 0.000) x1
Nb (0.000, 0.500, 0.372) x2
Cu (0.500, 0.500, 0.658) x1
Ge (0.000, 0.000, 0.628) x1
Ge (0.500, 0.500, 0.112) x1

Top 10 peaks for 2θ from 5° to 70°, in order of falling intensity:
- d = 2.248 Å, I = 100, (1 1 2)
- d = 2.623 Å, I = 90, (1 1 1)
- d = 1.977 Å, I = 59, (2 0 0)
- d = 2.521 Å, I = 31, (0 0 3)
- d = 2.733 Å, I = 31, (1 0 2)
- d = 1.556 Å, I = 28, (2 0 3)
- d = 2.126 Å, I = 21, (1 0 3)
- d = 1.398 Å, I = 19, (2 2 0)
- d = 2.796 Å, I = 17, (1 1 0)
- d = 3.504 Å, I = 17, (1 0 1)

---

[9]
Computed powder diffractogram of TmNb2CuGe2 for CuKα, from DFT lattice parameters and positions (GGA-PBE).
Peak positions follow from Bragg's law for the DFT cell and can differ from measured ones.

Structural model:
Cell: 3.950 3.950 7.286 Å, 90.00 90.00 90.00°
Space group P4mm (No. 99)
Inequivalent atoms, fractional coordinates:
Tm (0.000, 0.000, 0.000) x1
Nb (0.000, 0.500, 0.367) x2
Cu (0.500, 0.500, 0.683) x1
Ge (0.000, 0.000, 0.627) x1
Ge (0.500, 0.500, 0.094) x1

Top 10 peaks for 2θ from 5° to 70°, in order of falling intensity:
- d = 2.608 Å, I = 100, (1 1 1)
- d = 2.217 Å, I = 90, (1 1 2)
- d = 1.975 Å, I = 59, (2 0 0)
- d = 2.429 Å, I = 34, (0 0 3)
- d = 1.532 Å, I = 32, (2 0 3)
- d = 2.678 Å, I = 31, (1 0 2)
- d = 2.069 Å, I = 21, (1 0 3)
- d = 2.793 Å, I = 19, (1 1 0)
- d = 1.397 Å, I = 19, (2 2 0)
- d = 1.367 Å, I = 13, (1 0 5)

---

[10]
Computed powder diffractogram of Nd3CuGeS7 for CuKα, from DFT lattice parameters and positions (GGA-PBE).
Peak positions follow from Bragg's law for the DFT cell and can differ from measured ones.

Structural model:
Cell: 10.1924 10.1924 5.8567 Å, 90.00 90.00 120.00°
Space group P6_3 (No. 173)
Inequivalent atoms, fractional coordinates:
Nd (0.1279, 0.3564, 0.0000) x6
Cu (0.0000, 0.0000, 0.4688) x2
Ge (0.3333, 0.6667, 0.5815) x2
S (0.0913, 0.2531, 0.4812) x6
S (0.1035, 0.5832, 0.7368) x6
S (0.3333, 0.6667, 0.2060) x2

Top 10 peaks for 2θ from 5° to 70°, in order of falling intensity:
- d = 3.525 Å, I = 100, (2 0 1)
- d = 2.548 Å, I = 46, (2 2 0)
- d = 2.201 Å, I = 38, (1 2 2)
- d = 2.448 Å, I = 37, (1 3 0)
- d = 2.259 Å, I = 32, (3 1 1)
- d = 3.845 Å, I = 29, (1 1 1)
- d = 2.928 Å, I = 28, (0 0 2)
- d = 3.336 Å, I = 25, (1 2 0)
- d = 1.922 Å, I = 24, (2 2 2)
- d = 1.878 Å, I = 23, (1 3 2)

---

[11]
Computed powder diffractogram of NdYCu2SiGe for CuKα, from DFT lattice parameters and positions (GGA-PBE).
Peak positions follow from Bragg's law for the DFT cell and can differ from measured ones.

Structural model:
Cell: 4.2068 4.2068 7.7440 Å, 90.00 90.00 120.00°
Space group P3m1 (No. 156)
Inequivalent atoms, fractional coordinates:
Nd (0.0000, 0.0000, 0.0000) x1
Y (0.0000, 0.0000, 0.4975) x1
Cu (0.3333, 0.6667, 0.2598) x1
Cu (0.6667, 0.3333, 0.7377) x1
Si (0.6667, 0.3333, 0.2587) x1
Ge (0.3333, 0.6667, 0.7387) x1

Top 10 peaks for 2θ from 5° to 70°, in order of falling intensity:
- d = 2.653 Å, I = 100, (1 0 2)
- d = 2.103 Å, I = 46, (1 1 0)
- d = 1.425 Å, I = 25, (1 1 4)
- d = 1.648 Å, I = 23, (0 2 2)
- d = 3.643 Å, I = 13, (1 0 0)
- d = 1.936 Å, I = 11, (0 0 4)
- d = 3.297 Å, I = 7, (0 1 1)
- d = 7.744 Å, I = 5, (0 0 1)
- d = 1.710 Å, I = 3, (0 1 4)
- d = 1.631 Å, I = 2, (1 1 3)

---

[12]
Computed powder diffractogram of TbNd2Cu4Sn2Ge2 for CuKα, from DFT lattice parameters and positions (GGA-PBE).
Peak positions follow from Bragg's law for the DFT cell and can differ from measured ones.

Structural model:
Cell: 4.461 6.708 14.666 Å, 90.00 90.00 90.00°
Space group Immm (No. 71)
Inequivalent atoms, fractional coordinates:
Tb (0.000, 0.000, 0.000) x2
Nd (0.000, 0.500, 0.127) x4
Cu (0.000, 0.313, 0.341) x8
Sn (0.000, 0.000, 0.216) x4
Ge (0.000, 0.192, 0.500) x4

Top 10 peaks for 2θ from 5° to 70°, in order of falling intensity:
- d = 2.609 Å, I = 100, (1 1 4)
- d = 2.637 Å, I = 77, (1 2 1)
- d = 2.230 Å, I = 38, (2 0 0)
- d = 2.687 Å, I = 29, (0 1 5)
- d = 2.033 Å, I = 17, (0 3 3)
- d = 1.716 Å, I = 16, (2 1 5)
- d = 1.350 Å, I = 15, (3 1 4)
- d = 3.354 Å, I = 13, (0 2 0)
- d = 1.503 Å, I = 12, (2 3 3)
- d = 1.778 Å, I = 12, (0 3 5)